Computed XRD peak list
Compound: NaH2N
Radiation: Cu Kα (weighted mean of Kα1 and Kα2)
Structure: a structure optimized by DFT (PBE)
No peak broadening, texture or thermal motion is included.

Structural model:
Lattice parameters (Å, degrees): 8.2002 8.6794 11.1322 90.00 90.00 90.00
Space group Fddd (No. 70, origin choice 2)
Inequivalent atoms, fractional coordinates:
Na (0.1250, 0.1250, 0.2601) x16
H (0.0604, 0.3186, 0.8182) x32
N (0.1103, 0.3750, 0.3750) x16

Peak list (6 most intense, 15 to 90 degrees two-theta, in order of falling intensity)
2θ/deg	Rel. int.	(hkl)
16.9	100	1 1 1
44.5	80	2 2 4
27.0	47	2 0 2
28.3	39	1 1 3
41.6	27	0 4 0
26.0	26	0 2 2

Computed XRD peak list
Compound: BaAg2Te2
Radiation: Cu Kα (weighted mean of Kα1 and Kα2)
Structure: a structure optimized by DFT (PBE)
No peak broadening, texture or thermal motion is included.

Structural model:
Lattice parameters (Å, degrees): 11.1085 4.6800 11.9329 90.00 90.00 90.00
Space group Pnma (No. 62)
Inequivalent atoms, fractional coordinates:
Ba (0.2431, 0.2500, 0.1936) x4
Ag (0.0598, 0.7500, 0.4149) x4
Ag (0.0616, 0.7500, 0.9523) x4
Te (0.0222, 0.2500, 0.8130) x4
Te (0.1824, 0.2500, 0.4817) x4

Peak list (6 most intense, 15 to 90 degrees two-theta, in order of falling intensity)
2θ/deg	Rel. int.	(hkl)
26.0	100	2 1 1
30.6	68	1 1 3
38.5	48	0 2 0
36.6	47	1 1 4
28.4	40	3 0 2
40.7	39	4 1 2

Computed XRD peak list
Compound: LiDyS2
Radiation: Cu Kα (weighted mean of Kα1 and Kα2)
Structure: a structure optimized by DFT (PBE)
No peak broadening, texture or thermal motion is included.

Structural model:
Lattice parameters (Å, degrees): 5.4399 5.4399 11.1426 90.00 90.00 90.00
Space group I4_1/amd (No. 141, origin choice 2)
Inequivalent atoms, fractional coordinates:
Li (0.0000, 0.2500, 0.3750) x4
Dy (0.0000, 0.2500, 0.8750) x4
S (0.0000, 0.2500, 0.1200) x8

Peak list (6 most intense, 15 to 90 degrees two-theta, in order of falling intensity)
2θ/deg	Rel. int.	(hkl)
18.1	100	1 0 1
32.9	51	2 0 0
46.7	37	2 0 4
37.9	32	2 1 1
29.1	29	1 0 3
32.1	27	0 0 4

Computed XRD peak list
Compound: Li2CaTa2O7
Radiation: Cu Kα (weighted mean of Kα1 and Kα2)
Structure: a structure optimized by DFT (PBE)
No peak broadening, texture or thermal motion is included.

Structural model:
Lattice parameters (Å, degrees): 3.9551 3.9551 18.6188 90.00 90.00 90.00
Space group I4/mmm (No. 139)
Inequivalent atoms, fractional coordinates:
Li (0.0000, 0.5000, 0.2500) x4
Ca (0.0000, 0.0000, 0.0000) x2
Ta (0.0000, 0.0000, 0.3885) x4
O (0.0000, 0.0000, 0.2862) x4
O (0.0000, 0.0000, 0.5000) x2
O (0.0000, 0.5000, 0.0996) x8

Peak list (6 most intense, 15 to 90 degrees two-theta, in order of falling intensity)
2θ/deg	Rel. int.	(hkl)
23.0	100	1 0 1
33.0	66	1 0 5
26.7	55	1 0 3
19.1	53	0 0 4
32.0	46	1 1 0
45.9	33	2 0 0

Computed XRD peak list
Compound: CaSn2O4
Radiation: Cu Kα (weighted mean of Kα1 and Kα2)
Structure: a structure optimized by DFT (PBE)
No peak broadening, texture or thermal motion is included.

Structural model:
Lattice parameters (Å, degrees): 3.3214 10.9286 11.0740 90.00 90.00 90.00
Space group Cmcm (No. 63)
Inequivalent atoms, fractional coordinates:
Ca (0.0000, 0.1098, 0.2500) x4
Sn (0.0000, 0.3685, 0.0730) x8
O (0.0000, 0.0000, 0.0000) x4
O (0.0000, 0.2733, 0.6112) x8
O (0.0000, 0.4561, 0.2500) x4

Peak list (6 most intense, 15 to 90 degrees two-theta, in order of falling intensity)
2θ/deg	Rel. int.	(hkl)
29.2	100	0 2 3
36.6	30	1 3 0
16.0	29	0 0 2
40.2	28	1 3 2
28.1	24	1 1 0
32.8	23	0 4 0

Computed XRD peak list
Compound: Mg14CuMo
Radiation: Cu Kα (weighted mean of Kα1 and Kα2)
Structure: a structure optimized by DFT (PBE)
No peak broadening, texture or thermal motion is included.

Structural model:
Lattice parameters (Å, degrees): 9.8033 6.2800 10.7973 90.00 90.00 90.00
Space group Amm2 (No. 38)
Inequivalent atoms, fractional coordinates:
Mg (0.0000, 0.0000, 0.9998) x2
Mg (0.0000, 0.0000, 0.5000) x2
Mg (0.0000, 0.2499, 0.2524) x4
Mg (0.2559, 0.0000, 0.1626) x4
Mg (0.2593, 0.0000, 0.6643) x4
Mg (0.2676, 0.2480, 0.9236) x8
Mg (0.5000, 0.2456, 0.2508) x4
Cu (0.5000, 0.0000, 0.5013) x2
Mo (0.5000, 0.0000, 0.0042) x2

Peak list (6 most intense, 15 to 90 degrees two-theta, in order of falling intensity)
2θ/deg	Rel. int.	(hkl)
37.9	100	2 2 2
38.1	49	2 0 4
36.7	35	4 0 0
33.0	28	0 2 2
18.8	23	1 0 2
16.4	18	0 0 2

Computed XRD peak list
Compound: La2Sb4Ir3
Radiation: Cu Kα (weighted mean of Kα1 and Kα2)
Structure: a structure optimized by DFT (PBE)
No peak broadening, texture or thermal motion is included.

Structural model:
Lattice parameters (Å, degrees): 16.4300 4.6381 11.0950 90.00 90.00 90.00
Space group Pnma (No. 62)
Inequivalent atoms, fractional coordinates:
La (0.0058, 0.2500, 0.2488) x4
La (0.2503, 0.2500, 0.0876) x4
Sb (0.0681, 0.7500, 0.4496) x4
Sb (0.1042, 0.7500, 0.0623) x4
Sb (0.1512, 0.2500, 0.7755) x4
Sb (0.2081, 0.2500, 0.3846) x4
Ir (0.0566, 0.2500, 0.9654) x4
Ir (0.0922, 0.2500, 0.5568) x4
Ir (0.1807, 0.7500, 0.2771) x4

Peak list (6 most intense, 15 to 90 degrees two-theta, in order of falling intensity)
2θ/deg	Rel. int.	(hkl)
32.8	100	2 1 3
38.8	50	0 2 0
30.2	47	4 1 1
36.6	47	6 0 2
54.4	30	6 2 2
45.3	16	0 1 5

Computed XRD peak list
Compound: Cs3ZnBr5
Radiation: Cu Kα (weighted mean of Kα1 and Kα2)
Structure: a structure optimized by DFT (PBE)
No peak broadening, texture or thermal motion is included.

Structural model:
Lattice parameters (Å, degrees): 9.9358 9.9358 15.4689 90.00 90.00 90.00
Space group I4/mcm (No. 140)
Inequivalent atoms, fractional coordinates:
Cs (0.0000, 0.0000, 0.2500) x4
Cs (0.1647, 0.3353, 0.0000) x8
Zn (0.0000, 0.5000, 0.2500) x4
Br (0.0000, 0.0000, 0.0000) x4
Br (0.1389, 0.3611, 0.3439) x16

Peak list (6 most intense, 15 to 90 degrees two-theta, in order of falling intensity)
2θ/deg	Rel. int.	(hkl)
26.5	100	2 1 3
28.4	45	3 1 0
21.3	22	2 0 2
52.7	19	5 2 3
25.4	18	2 2 0
34.5	14	2 2 4

Computed XRD peak list
Compound: PuSb2
Radiation: Cu Kα (weighted mean of Kα1 and Kα2)
Structure: a structure optimized by DFT (PBE)
No peak broadening, texture or thermal motion is included.

Structural model:
Lattice parameters (Å, degrees): 6.2271 6.2348 17.1506 90.00 90.00 90.00
Space group Cmce (No. 64)
Inequivalent atoms, fractional coordinates:
Pu (0.0000, 0.1412, 0.1069) x8
Sb (0.0000, 0.1408, 0.4300) x8
Sb (0.2500, 0.1236, 0.7500) x8

Peak list (6 most intense, 15 to 90 degrees two-theta, in order of falling intensity)
2θ/deg	Rel. int.	(hkl)
32.7	100	0 2 3
41.3	53	2 2 1
35.6	52	2 0 4
31.3	40	0 0 6
30.5	39	2 0 2
22.7	27	1 1 2

Repeat the fifth record exactly.
Computed XRD peak list
Compound: CaSn2O4
Radiation: Cu Kα (weighted mean of Kα1 and Kα2)
Structure: a structure optimized by DFT (PBE)
No peak broadening, texture or thermal motion is included.

Structural model:
Lattice parameters (Å, degrees): 3.3214 10.9286 11.0740 90.00 90.00 90.00
Space group Cmcm (No. 63)
Inequivalent atoms, fractional coordinates:
Ca (0.0000, 0.1098, 0.2500) x4
Sn (0.0000, 0.3685, 0.0730) x8
O (0.0000, 0.0000, 0.0000) x4
O (0.0000, 0.2733, 0.6112) x8
O (0.0000, 0.4561, 0.2500) x4

Peak list (6 most intense, 15 to 90 degrees two-theta, in order of falling intensity)
2θ/deg	Rel. int.	(hkl)
29.2	100	0 2 3
36.6	30	1 3 0
16.0	29	0 0 2
40.2	28	1 3 2
28.1	24	1 1 0
32.8	23	0 4 0